# 1
For CsKSe4, DFT lattice parameters and positions (PBE) gives the theoretical powder diffraction line list in this record (λ = 1.5418 Å (Cu Kα)).
No peak broadening, texture or thermal motion is included.

Crystal structure
a b c (Å): 16.4736 5.2925 5.3013
angles (deg): 90.00 108.77 90.00
Space group Cm (No. 8)
Asymmetric unit:
Cs  0.0000  0.0000  0.0000
K  0.2329  0.0000  0.7338
Se  0.1958  0.5000  0.1974
Se  0.3467  0.2502  0.3472
Se  0.4954  0.0000  0.4950

Top 10 peaks for 2θ = 10–90°, by intensity:
index, 2theta, Rel. int.
1 1 1, 26.4, 100.0
0 0 1, 17.7, 39.1
2 0 -2, 33.8, 34.3
4 2 0, 41.2, 30.6
2 2 2, 54.3, 24.2
1 1 -3, 56.2, 23.0
2 0 1, 24.0, 22.2
2 0 0, 11.3, 19.9
6 0 0, 34.5, 18.0
2 2 0, 35.8, 17.4

# 2
For Er3Al2Ag4, DFT lattice parameters and positions (PBE) gives the theoretical powder diffraction line list in this record (λ = 1.5418 Å (Cu Kα)).
No peak broadening, texture or thermal motion is included.

Crystal structure
a b c (Å): 10.7206 4.6137 8.7538
angles (deg): 90.00 116.49 90.00
Space group C2/m (No. 12)
Asymmetric unit:
Er  0.0000  0.0000  0.0000
Er  0.1528  0.5000  0.6806
Al  0.1364  0.5000  0.3063
Ag  0.0810  0.0000  0.4062
Ag  0.2140  0.5000  0.0617

Top 10 peaks for 2θ = 10–90°, by intensity:
index, 2theta, Rel. int.
1 1 2, 34.3, 100.0
3 1 -3, 38.7, 76.2
3 1 0, 34.1, 56.1
0 2 0, 39.0, 41.6
4 0 -1, 33.9, 32.5
4 0 2, 52.9, 28.7
4 2 2, 67.7, 22.7
3 1 -1, 31.7, 21.1
1 1 -1, 22.2, 18.7
4 2 -1, 52.6, 18.3

# 3
For Ho4Mg5Ag2, DFT lattice parameters and positions (PBE) gives the theoretical powder diffraction line list in this record (λ = 1.5418 Å (Cu Kα)).
No peak broadening, texture or thermal motion is included.

Crystal structure
a b c (Å): 7.9071 3.4638 10.2710
angles (deg): 90.00 93.26 90.00
Space group P2/m (No. 10)
Asymmetric unit:
Ho  0.1598  0.0000  0.3745
Ho  0.2508  0.0000  0.9490
Mg  0.1964  0.5000  0.6630
Mg  0.4393  0.5000  0.1989
Mg  0.5000  0.5000  0.5000
Ag  0.0605  0.5000  0.1390

Top 10 peaks for 2θ = 10–90°, by intensity:
index, 2theta, Rel. int.
1 0 0, 11.2, 100.0
1 1 2, 33.6, 58.9
2 1 0, 34.4, 57.4
2 1 -2, 38.2, 51.6
1 1 -2, 32.9, 51.3
0 1 3, 36.9, 44.6
2 0 3, 35.7, 42.2
1 0 -4, 36.2, 39.5
1 0 -2, 20.1, 34.6
3 0 -1, 34.7, 31.9

# 4
For GaCoNi14, DFT lattice parameters and positions (PBE) gives the theoretical powder diffraction line list in this record (λ = 1.5418 Å (Cu Kα)).
No peak broadening, texture or thermal motion is included.

Crystal structure
a b c (Å): 8.1684 4.9951 8.6502
angles (deg): 90.00 90.00 90.00
Space group Amm2 (No. 38)
Asymmetric unit:
Ga  0.0000  0.0000  0.0000
Co  0.0000  0.0000  0.4994
Ni  0.0000  0.2491  0.2507
Ni  0.2500  0.0000  0.3341
Ni  0.2506  0.2481  0.5836
Ni  0.2520  0.0000  0.8328
Ni  0.5000  0.0000  0.1667
Ni  0.5000  0.0000  0.6664
Ni  0.5000  0.2503  0.4166

Top 9 peaks for 2θ = 10–90°, by intensity:
index, 2theta, Rel. int.
2 2 2, 47.6, 100.0
1 0 4, 43.3, 45.3
4 0 0, 44.4, 36.9
3 0 4, 54.2, 22.4
0 4 0, 76.3, 19.7
6 2 2, 84.0, 16.9
5 0 4, 72.5, 8.7
0 0 4, 41.8, 8.1
4 0 4, 62.6, 4.4

# 5
For Ho4Ag2HgRh, DFT lattice parameters and positions (PBE) gives the theoretical powder diffraction line list in this record (λ = 1.5418 Å (Cu Kα)).
No peak broadening, texture or thermal motion is included.

Crystal structure
a b c (Å): 5.0815 5.0815 24.6877
angles (deg): 90.00 90.00 120.00
Space group R-3m (No. 166, hexagonal axes)
Asymmetric unit:
Ho  0.0000  0.0000  0.1171
Ho  0.0000  0.0000  0.3693
Ag  0.0000  0.0000  0.2447
Hg  0.0000  0.0000  0.5000
Rh  0.0000  0.0000  0.0000

Top 10 peaks for 2θ = 10–90°, by intensity:
index, 2theta, Rel. int.
1 1 0, 35.3, 100.0
0 1 8, 35.5, 90.9
1 2 8, 63.5, 33.2
2 0 8, 51.0, 32.4
3 0 0, 63.4, 18.1
3 1 8, 85.6, 14.9
1 0 16, 63.9, 12.7
2 1 16, 85.9, 11.5
2 2 0, 74.7, 11.2
0 2 16, 75.2, 7.9

# 6
For MgSc3Ru, DFT lattice parameters and positions (PBE) gives the theoretical powder diffraction line list in this record (λ = 1.5418 Å (Cu Kα)).
No peak broadening, texture or thermal motion is included.

Crystal structure
a b c (Å): 8.9875 7.5205 3.1859
angles (deg): 90.00 90.00 90.00
Space group Pma2 (No. 28)
Asymmetric unit:
Mg  0.2500  0.0832  0.0000
Sc  0.0427  0.7890  0.5013
Sc  0.2500  0.4537  0.5014
Ru  0.0000  0.5000  0.0013

Top 10 peaks for 2θ = 10–90°, by intensity:
index, 2theta, Rel. int.
0 1 0, 11.8, 100.0
2 1 1, 36.6, 84.4
2 2 1, 42.3, 60.0
2 0 0, 19.8, 36.0
0 2 1, 37.0, 29.1
0 3 0, 35.8, 23.6
4 0 0, 40.1, 21.5
2 1 0, 23.1, 16.1
3 1 0, 32.2, 15.4
2 3 0, 41.2, 13.6